The following is a simulated powder diffractogram of CrF3. It was derived from a DFT-relaxed cell (PBE+U, the Materials Project), using copper Kα.

The 10 most intense peaks (5 to 70 degrees two-theta), most intense first:
Position (°2θ), d (Å), intensity
16.13, 5.494, 100
18.57, 4.779, 28
45.00, 2.014, 9
26.55, 3.357, 5
38.24, 2.353, 5
49.18, 1.853, 4
50.98, 1.791, 4
47.08, 1.930, 4
31.07, 2.878, 4
51.16, 1.785, 4

```
data_CrF3
_cell_length_a 5.8504
_cell_length_b 5.8504
_cell_length_c 5.4408
_cell_angle_alpha 93.35
_cell_angle_beta 93.35
_cell_angle_gamma 109.55
_space_group_name_H-M_alt 'P 1'
_space_group_IT_number 1
loop_
_space_group_symop_operation_xyz
'x,y,z'
loop_
_atom_site_label
_atom_site_fract_x
_atom_site_fract_y
_atom_site_fract_z
Cr1 0.0000 0.0000 0.0000
Cr2 0.0000 0.0000 0.5000
F1 0.1081 0.2597 0.7718
F2 0.1486 0.8514 0.7500
F3 0.2597 0.1081 0.2718
F4 0.7403 0.8919 0.7282
F5 0.8514 0.1486 0.2500
F6 0.8919 0.7403 0.2282
```


The following is a simulated powder diffractogram of MgNi2Bi4O12. It was derived from a DFT-relaxed cell (PBE+U, the Materials Project), using copper Kα.

The 10 most intense peaks (5 to 70 degrees two-theta), most intense first:
Position (°2θ), d (Å), intensity
26.00, 3.428, 100
20.56, 4.319, 99
18.82, 4.716, 74
32.56, 2.750, 71
32.24, 2.776, 68
33.37, 2.685, 36
27.94, 3.194, 32
34.91, 2.570, 30
50.17, 1.818, 29
38.53, 2.337, 29

```
data_MgNi2Bi4O12
_cell_length_a 5.5144
_cell_length_b 5.5144
_cell_length_c 9.6694
_cell_angle_alpha 90.76
_cell_angle_beta 90.76
_cell_angle_gamma 76.86
_space_group_name_H-M_alt 'P 1'
_space_group_IT_number 1
loop_
_space_group_symop_operation_xyz
'x,y,z'
loop_
_atom_site_label
_atom_site_fract_x
_atom_site_fract_y
_atom_site_fract_z
Mg1 0.0000 0.0000 0.0000
Ni1 0.2736 0.2736 0.1604
Ni2 0.7079 0.7079 0.6447
Bi1 0.1269 0.1269 0.4749
Bi2 0.2826 0.2826 0.7983
Bi3 0.6618 0.6618 0.9794
Bi4 0.6946 0.6946 0.3205
O1 0.0081 0.4029 0.6338
O2 0.0187 0.3883 0.3076
O3 0.3615 0.9907 0.9972
O4 0.3883 0.0187 0.3076
O5 0.4029 0.0081 0.6338
O6 0.5071 0.5071 0.1519
O7 0.5340 0.5340 0.7923
O8 0.5536 0.5536 0.4850
O9 0.8409 0.8409 0.1447
O10 0.8499 0.8499 0.8433
O11 0.8834 0.8834 0.4798
O12 0.9907 0.3615 0.9972
```


The following is a simulated powder diffractogram of LaCo3O3. It was derived from a DFT-relaxed cell (PBE+U, the Materials Project), using copper Kα.

The 10 most intense peaks (5 to 70 degrees two-theta), most intense first:
Position (°2θ), d (Å), intensity
37.52, 2.397, 100
38.04, 2.365, 96
38.42, 2.343, 93
30.83, 2.900, 81
64.23, 1.450, 41
31.06, 2.879, 40
31.24, 2.863, 39
50.94, 1.793, 39
40.96, 2.204, 38
31.78, 2.816, 38

```
data_LaCo3O3
_cell_length_a 3.5882
_cell_length_b 5.4092
_cell_length_c 5.4785
_cell_angle_alpha 61.05
_cell_angle_beta 88.64
_cell_angle_gamma 87.79
_space_group_name_H-M_alt 'P 1'
_space_group_IT_number 1
loop_
_space_group_symop_operation_xyz
'x,y,z'
loop_
_atom_site_label
_atom_site_fract_x
_atom_site_fract_y
_atom_site_fract_z
La1 0.0000 0.0000 0.0000
Co1 0.5000 0.0000 0.5000
Co2 0.5000 0.5000 0.0000
Co3 0.5000 0.5000 0.5000
O1 0.0000 0.0000 0.5000
O2 0.0000 0.5000 0.0000
O3 0.0000 0.5000 0.5000
```


The following is a simulated powder diffractogram of Na2MgFe2P3O12. It was derived from a DFT-relaxed cell (PBE+U, the Materials Project), using copper Kα.

The 10 most intense peaks (5 to 70 degrees two-theta), most intense first:
Position (°2θ), d (Å), intensity
32.81, 2.729, 100
34.85, 2.574, 93
28.33, 3.150, 61
16.29, 5.442, 56
14.04, 6.310, 53
30.78, 2.905, 48
32.92, 2.721, 40
25.55, 3.487, 30
32.05, 2.793, 29
42.39, 2.132, 27

```
data_Na2MgFe2P3O12
_cell_length_a 8.6778
_cell_length_b 8.6778
_cell_length_c 6.5712
_cell_angle_alpha 106.22
_cell_angle_beta 106.22
_cell_angle_gamma 93.29
_space_group_name_H-M_alt 'P 1'
_space_group_IT_number 1
loop_
_space_group_symop_operation_xyz
'x,y,z'
loop_
_atom_site_label
_atom_site_fract_x
_atom_site_fract_y
_atom_site_fract_z
Na1 0.0000 0.0000 0.0000
Na2 0.0000 0.0000 0.5000
Na3 0.4835 0.5165 0.7500
Na4 0.5165 0.4835 0.2500
Mg1 0.2334 0.7666 0.2500
Mg2 0.7666 0.2334 0.7500
Fe1 0.1191 0.4427 0.3739
Fe2 0.4427 0.1191 0.8739
Fe3 0.5573 0.8809 0.1261
Fe4 0.8809 0.5573 0.6261
P1 0.1546 0.3739 0.8801
P2 0.2112 0.7888 0.7500
P3 0.3739 0.1546 0.3801
P4 0.6261 0.8454 0.6199
P5 0.7888 0.2112 0.2500
P6 0.8454 0.6261 0.1199
O1 0.0219 0.2312 0.8293
O2 0.0331 0.7624 0.7464
O3 0.1033 0.4556 0.6914
O4 0.1758 0.5048 0.1099
O5 0.2312 0.0219 0.3293
O6 0.2376 0.9669 0.7536
O7 0.2420 0.6780 0.5363
O8 0.3220 0.7580 0.9637
O9 0.3247 0.3256 0.3896
O10 0.3256 0.3247 0.8896
O11 0.4556 0.1033 0.1914
O12 0.4952 0.8242 0.3901
O13 0.5048 0.1758 0.6099
O14 0.5444 0.8967 0.8086
O15 0.6744 0.6753 0.1104
O16 0.6753 0.6744 0.6103
O17 0.6780 0.2420 0.0363
O18 0.7580 0.3220 0.4637
O19 0.7624 0.0331 0.2464
O20 0.7688 0.9781 0.6707
O21 0.8242 0.4952 0.8901
O22 0.8967 0.5444 0.3086
O23 0.9669 0.2376 0.2536
O24 0.9781 0.7688 0.1707
```


The following is a simulated powder diffractogram of Na3MgVH6O7. It was derived from a DFT-relaxed cell (PBE+U, the Materials Project), using copper Kα.

The 10 most intense peaks (5 to 70 degrees two-theta), most intense first:
Position (°2θ), d (Å), intensity
32.51, 2.754, 100
34.10, 2.629, 67
15.31, 5.789, 65
25.44, 3.502, 57
16.17, 5.480, 51
44.71, 2.027, 43
35.91, 2.501, 43
32.25, 2.776, 42
27.20, 3.279, 42
26.69, 3.341, 39

```
data_Na3MgVH6O7
_cell_length_a 5.8607
_cell_length_b 5.8874
_cell_length_c 5.9724
_cell_angle_alpha 88.89
_cell_angle_beta 76.01
_cell_angle_gamma 74.71
_space_group_name_H-M_alt 'P 1'
_space_group_IT_number 1
loop_
_space_group_symop_operation_xyz
'x,y,z'
loop_
_atom_site_label
_atom_site_fract_x
_atom_site_fract_y
_atom_site_fract_z
Na1 0.0000 0.0000 0.0000
Na2 0.0050 0.7832 0.4847
Na3 0.7149 0.4421 0.2250
Mg1 0.4396 0.9245 0.4794
V1 0.4980 0.3054 0.6892
H1 0.1219 0.3190 0.4479
H2 0.2481 0.3680 0.1909
H3 0.4176 0.7558 0.0723
H4 0.4939 0.0966 0.0607
H5 0.7344 0.6159 0.7715
H6 0.9961 0.4476 0.7907
O1 0.0899 0.4135 0.3076
O2 0.2026 0.1976 0.6838
O3 0.3302 0.8710 0.1994
O4 0.5111 0.6209 0.6234
O5 0.5586 0.2306 0.9973
O6 0.6990 0.0860 0.4441
O7 0.8732 0.6073 0.8488
```